Record 1
Structure and calculated X-ray powder pattern of SrMn7N10 (DFT lattice parameters and positions (PBE); a wavelength of 1.5418 Å).
Intensities are scaled so that the largest is 100.

Cell and atoms:
```
data_SrMn7N10
_cell_length_a 6.9577
_cell_length_b 6.8378
_cell_length_c 10.0846
_cell_angle_alpha 90.00
_cell_angle_beta 104.22
_cell_angle_gamma 90.00
_space_group_name_H-M_alt 'P 1 c 1'
_space_group_IT_number 7
loop_
_space_group_symop_operation_xyz
'x,y,z'
'x,-y,z+1/2'
loop_
_atom_site_label
_atom_site_fract_x
_atom_site_fract_y
_atom_site_fract_z
Sr1 0.0000 0.0345 0.0000
Mn1 0.2032 0.4050 0.4603
Mn2 0.4098 0.3882 0.7799
Mn3 0.4613 0.0202 0.3963
Mn4 0.5737 0.3753 0.0758
Mn5 0.6470 0.0083 0.2166
Mn6 0.7844 0.3860 0.3585
Mn7 0.9691 0.3488 0.6968
N1 0.1794 0.4098 0.8309
N2 0.2715 0.1731 0.4119
N3 0.3646 0.4944 0.1153
N4 0.4507 0.1404 0.7496
N5 0.5512 0.1153 0.0509
N6 0.6255 0.4573 0.9185
N7 0.6626 0.1602 0.3657
N8 0.7999 0.4599 0.1850
N9 0.8652 0.1215 0.7253
N10 0.9802 0.3657 0.5185
```

Largest 10 diffraction maxima, by angle, 2θ = 10–90°:
- 2θ = 19.1°, d 4.643, intensity 45, hkl 1 1 -1
- 2θ = 25.0°, d 3.564, intensity 30, hkl 1 0 2
- 2θ = 26.1°, d 3.419, intensity 52, hkl 0 2 0
- 2θ = 28.2°, d 3.161, intensity 43, hkl 1 1 2
- 2θ = 28.9°, d 3.088, intensity 53, hkl 2 1 -1
- 2θ = 29.7°, d 3.008, intensity 64, hkl 1 2 -1
- 2θ = 30.4°, d 2.942, intensity 47, hkl 0 1 3
- 2θ = 31.2°, d 2.870, intensity 41, hkl 2 1 -2
- 2θ = 38.3°, d 2.351, intensity 100, hkl 2 1 2
- 2θ = 66.2°, d 1.412, intensity 31, hkl 2 4 2

Record 2
Structure and calculated X-ray powder pattern of Er2ZnOs (DFT lattice parameters and positions (PBE); a wavelength of 1.5418 Å).
Intensities are scaled so that the largest is 100.

Cell and atoms:
```
data_Er2ZnOs
_cell_length_a 6.8829
_cell_length_b 6.8829
_cell_length_c 6.8829
_cell_angle_alpha 90.00
_cell_angle_beta 90.00
_cell_angle_gamma 90.00
_space_group_name_H-M_alt 'F m -3 m'
_space_group_IT_number 225
_space_group_name_Hall '-F 4 2 3'
loop_
_atom_site_label
_atom_site_fract_x
_atom_site_fract_y
_atom_site_fract_z
Er1 0.2500 0.2500 0.2500
Zn1 0.0000 0.0000 0.0000
Os1 0.0000 0.0000 0.5000
```

Largest 10 diffraction maxima, by angle, 2θ = 10–90°:
- 2θ = 22.4°, d 3.974, intensity 9, hkl 1 1 1
- 2θ = 25.9°, d 3.441, intensity 2, hkl 2 0 0
- 2θ = 36.9°, d 2.433, intensity 100, hkl 2 2 0
- 2θ = 43.6°, d 2.075, intensity 5, hkl 3 1 1
- 2θ = 53.2°, d 1.721, intensity 18, hkl 4 0 0
- 2θ = 58.4°, d 1.579, intensity 2, hkl 3 3 1
- 2θ = 66.6°, d 1.405, intensity 36, hkl 4 2 2
- 2θ = 71.2°, d 1.325, intensity 2, hkl 5 1 1
- 2θ = 78.6°, d 1.217, intensity 11, hkl 4 4 0
- 2θ = 83.0°, d 1.163, intensity 2, hkl 5 3 1

Record 3
Structure and calculated X-ray powder pattern of KH9O5 (DFT lattice parameters and positions (PBE); a wavelength of 1.5418 Å).
Intensities are scaled so that the largest is 100.

Cell and atoms:
```
data_KH9O5
_cell_length_a 7.1575
_cell_length_b 11.2938
_cell_length_c 7.1721
_cell_angle_alpha 90.00
_cell_angle_beta 99.18
_cell_angle_gamma 90.00
_space_group_name_H-M_alt 'P 1 21/c 1'
_space_group_IT_number 14
loop_
_space_group_symop_operation_xyz
'x,y,z'
'-x,-y,-z'
'-x,y+1/2,-z+1/2'
'x,-y+1/2,z+1/2'
loop_
_atom_site_label
_atom_site_fract_x
_atom_site_fract_y
_atom_site_fract_z
K1 0.0684 0.1609 0.1502
H1 0.0430 0.6009 0.8378
H2 0.1633 0.0547 0.7414
H3 0.2621 0.5994 0.1037
H4 0.2625 0.7325 0.0335
H5 0.3626 0.1200 0.5725
H6 0.4073 0.5923 0.3967
H7 0.4219 0.2437 0.4879
H8 0.4659 0.5929 0.6212
H9 0.4833 0.0346 0.3408
O1 0.0397 0.0718 0.7784
O2 0.1765 0.6640 0.0419
O3 0.3195 0.1831 0.4765
O4 0.4070 0.6443 0.5117
O5 0.4158 0.0012 0.7176
```

Largest 10 diffraction maxima, by angle, 2θ = 10–90°:
- 2θ = 20.1°, d 4.413, intensity 40, hkl 0 2 1
- 2θ = 27.5°, d 3.244, intensity 100, hkl 2 1 -1
- 2θ = 29.8°, d 2.999, intensity 60, hkl 0 2 2
- 2θ = 30.0°, d 2.980, intensity 36, hkl 1 0 2
- 2θ = 30.8°, d 2.903, intensity 66, hkl 2 2 -1
- 2θ = 33.8°, d 2.652, intensity 39, hkl 2 1 -2
- 2θ = 34.0°, d 2.634, intensity 62, hkl 2 2 1
- 2θ = 34.2°, d 2.622, intensity 55, hkl 0 4 1
- 2θ = 35.7°, d 2.517, intensity 39, hkl 2 3 -1
- 2θ = 44.2°, d 2.049, intensity 46, hkl 2 4 1

Question: What is the formula in the second record?
Answer: Er2ZnOs